1.
This entry pairs a crystal structure of Sr3AuO with its theoretical powder diffractogram. Radiation: Cu Kα (weighted mean of Kα1 and Kα2). Structure: a cell relaxed with GGA-PBE.

Peak list (10 most intense, 2θ from 10° to 90°, by intensity)
- hkl 1 3 1, 30.94°, I = 1000
- hkl 3 1 1, 35.47°, I = 453
- hkl 2 4 0, 31.08°, I = 424
- hkl 5 3 1, 54.44°, I = 329
- hkl 2 2 0, 21.63°, I = 306
- hkl 2 0 1, 28.59°, I = 246
- hkl 0 6 0, 38.69°, I = 242
- hkl 1 1 1, 24.98°, I = 225
- hkl 0 2 0, 12.68°, I = 197
- hkl 4 0 0, 35.32°, I = 186

Structural model:
Unit cell a=10.1647 b=13.9657 c=3.9562 alpha=90.00 beta=90.00 gamma=90.00
Space group Cmmm (No. 65)
Unique sites:
Sr 0.0000 0.1823 0.0000 (multiplicity 4)
Sr 0.1953 0.3695 0.5000 (multiplicity 8)
Au 0.0000 0.0000 0.5000 (multiplicity 2)
Au 0.0000 0.5000 0.0000 (multiplicity 2)
O 0.2500 0.2500 0.0000 (multiplicity 4)

2.
This entry pairs a crystal structure of CsPm3F9 with its theoretical powder diffractogram. Radiation: Cu Kα (weighted mean of Kα1 and Kα2). Structure: a cell relaxed with GGA-PBE.

Peak list (10 most intense, 2θ from 10° to 90°, by intensity)
- hkl 2 0 0, 22.98°, I = 1000
- hkl 1 0 1, 22.62°, I = 467
- hkl 2 0 2, 46.18°, I = 308
- hkl 2 2 0, 40.36°, I = 274
- hkl 1 1 1, 27.94°, I = 247
- hkl 0 0 1, 19.45°, I = 202
- hkl 4 0 0, 46.95°, I = 195
- hkl 2 2 2, 57.74°, I = 186
- hkl 4 0 2, 62.98°, I = 156
- hkl 3 1 1, 46.76°, I = 153

Structural model:
Unit cell a=8.9381 b=8.9381 c=4.5642 alpha=90.00 beta=90.00 gamma=120.00
Space group P6/mmm (No. 191)
Unique sites:
Cs 0.0000 0.0000 0.0000 (multiplicity 1)
Pm 0.0000 0.5000 0.5000 (multiplicity 3)
F 0.0000 0.5000 0.0000 (multiplicity 3)
F 0.2173 0.4346 0.5000 (multiplicity 6)

3.
This entry pairs a crystal structure of Er2Co2Cu with its theoretical powder diffractogram. Radiation: Cu Kα (weighted mean of Kα1 and Kα2). Structure: a cell relaxed with GGA-PBE.

Peak list (10 most intense, 2θ from 10° to 90°, by intensity)
- hkl 1 1 -3, 39.94°, I = 1000
- hkl 0 2 1, 36.77°, I = 877
- hkl 3 1 -1, 34.26°, I = 733
- hkl 2 0 2, 35.81°, I = 675
- hkl 2 2 -1, 40.53°, I = 587
- hkl 2 0 -2, 27.38°, I = 540
- hkl 2 2 1, 43.82°, I = 466
- hkl 3 1 -2, 38.03°, I = 399
- hkl 4 2 1, 58.61°, I = 387
- hkl 3 1 1, 39.76°, I = 383

Structural model:
Unit cell a=9.1971 b=5.1923 c=7.5201 alpha=90.00 beta=105.13 gamma=90.00
Space group C2/c (No. 15)
Unique sites:
Er 0.1461 0.1502 0.1471 (multiplicity 8)
Co 0.1409 0.3545 0.5040 (multiplicity 8)
Cu 0.0000 0.3522 0.7500 (multiplicity 4)

4.
This entry pairs a crystal structure of Bi with its theoretical powder diffractogram. Radiation: Cu Kα (weighted mean of Kα1 and Kα2). Structure: a cell relaxed with GGA-PBE.

Peak list (10 most intense, 2θ from 10° to 90°, by intensity)
- hkl 3 1 1, 30.26°, I = 1000
- hkl 2 0 2, 30.50°, I = 975
- hkl 2 2 0, 31.06°, I = 615
- hkl 2 2 1, 33.76°, I = 448
- hkl 4 0 0, 31.78°, I = 434
- hkl 0 2 2, 37.52°, I = 374
- hkl 5 1 3, 59.17°, I = 339
- hkl 0 2 1, 29.67°, I = 312
- hkl 3 3 3, 63.23°, I = 280
- hkl 7 1 1, 60.69°, I = 242

Structural model:
Unit cell a=11.2646 b=6.7006 c=6.8636 alpha=90.00 beta=90.00 gamma=90.00
Space group Cmce (No. 64)
Unique sites:
Bi 0.0000 0.1561 0.1835 (multiplicity 8)
Bi 0.2102 0.0000 0.5000 (multiplicity 8)

5.
This entry pairs a crystal structure of NaAc3Tc2N6 with its theoretical powder diffractogram. Radiation: Cu Kα (weighted mean of Kα1 and Kα2). Structure: a cell relaxed with GGA-PBE.

Peak list (10 most intense, 2θ from 10° to 90°, by intensity)
- hkl 1 1 0, 29.57°, I = 1000
- hkl 0 1 2, 31.03°, I = 854
- hkl 1 0 1, 21.31°, I = 510
- hkl 2 0 2, 43.40°, I = 413
- hkl 1 2 2, 53.39°, I = 380
- hkl 3 0 0, 52.47°, I = 209
- hkl 0 2 1, 36.74°, I = 202
- hkl 3 1 2, 70.38°, I = 169
- hkl 1 0 4, 56.10°, I = 158
- hkl 2 2 0, 61.38°, I = 157

Structural model:
Unit cell a=6.0415 b=6.0415 c=6.9058 alpha=90.00 beta=90.00 gamma=120.00
Space group P-3m1 (No. 164)
Unique sites:
Na 0.0000 0.0000 0.0000 (multiplicity 1)
Ac 0.0000 0.0000 0.5000 (multiplicity 1)
Ac 0.3333 0.6667 0.1828 (multiplicity 2)
Tc 0.3333 0.6667 0.6995 (multiplicity 2)
N 0.1689 0.3378 0.7797 (multiplicity 6)

6.
This entry pairs a crystal structure of Ac5Tl5In2 with its theoretical powder diffractogram. Radiation: Cu Kα (weighted mean of Kα1 and Kα2). Structure: a cell relaxed with GGA-PBE.

Peak list (10 most intense, 2θ from 10° to 90°, by intensity)
- hkl 3 1 -3, 29.04°, I = 1000
- hkl 5 1 -1, 32.36°, I = 939
- hkl 2 0 2, 29.75°, I = 451
- hkl 0 2 0, 34.86°, I = 450
- hkl 2 2 2, 46.47°, I = 326
- hkl 1 1 2, 30.01°, I = 224
- hkl 5 3 -1, 60.94°, I = 157
- hkl 8 0 -4, 41.48°, I = 144
- hkl 3 3 -3, 58.98°, I = 141
- hkl 1 1 -3, 31.55°, I = 140

Structural model:
Unit cell a=17.7086 b=5.1468 c=11.5074 alpha=90.00 beta=128.72 gamma=90.00
Space group C2/m (No. 12)
Unique sites:
Ac 0.0000 0.0000 0.0000 (multiplicity 2)
Ac 0.1036 0.0000 0.4251 (multiplicity 4)
Ac 0.1856 0.0000 0.8292 (multiplicity 4)
Tl 0.0000 0.5000 0.5000 (multiplicity 2)
Tl 0.0656 0.5000 0.8621 (multiplicity 4)
Tl 0.2421 0.5000 0.6904 (multiplicity 4)
In 0.1483 0.5000 0.2720 (multiplicity 4)

7.
This entry pairs a crystal structure of Ac4TmSe5 with its theoretical powder diffractogram. Radiation: Cu Kα (weighted mean of Kα1 and Kα2). Structure: a cell relaxed with GGA-PBE.

Peak list (10 most intense, 2θ from 10° to 90°, by intensity)
- hkl 1 1 0, 28.74°, I = 1000
- hkl 2 0 0, 41.09°, I = 753
- hkl 1 0 5, 24.82°, I = 384
- hkl 2 0 10, 50.91°, I = 266
- hkl 3 1 0, 67.35°, I = 239
- hkl 3 1 10, 74.83°, I = 172
- hkl 2 1 5, 48.56°, I = 137
- hkl 1 1 20, 67.52°, I = 95
- hkl 2 2 0, 59.45°, I = 89
- hkl 3 0 5, 65.48°, I = 87

Structural model:
Unit cell a=4.3977 b=4.3977 c=31.0027 alpha=90.00 beta=90.00 gamma=90.00
Space group I4/mmm (No. 139)
Unique sites:
Ac 0.0000 0.0000 0.0999 (multiplicity 4)
Ac 0.0000 0.0000 0.3051 (multiplicity 4)
Tm 0.0000 0.0000 0.5000 (multiplicity 2)
Se 0.0000 0.0000 0.0000 (multiplicity 2)
Se 0.0000 0.0000 0.2027 (multiplicity 4)
Se 0.0000 0.0000 0.4084 (multiplicity 4)

8.
This entry pairs a crystal structure of Pu3Zn4Pd4 with its theoretical powder diffractogram. Radiation: Cu Kα (weighted mean of Kα1 and Kα2). Structure: a cell relaxed with GGA-PBE.

Peak list (10 most intense, 2θ from 10° to 90°, by intensity)
- hkl 1 2 1, 33.13°, I = 1000
- hkl 1 1 4, 35.62°, I = 988
- hkl 0 1 5, 34.36°, I = 350
- hkl 2 0 0, 43.07°, I = 319
- hkl 0 3 3, 41.86°, I = 254
- hkl 0 2 0, 24.37°, I = 199
- hkl 1 5 4, 73.84°, I = 181
- hkl 2 1 5, 56.22°, I = 174
- hkl 2 3 3, 61.63°, I = 162
- hkl 1 3 4, 50.60°, I = 144

Structural model:
Unit cell a=4.1999 b=7.3054 c=13.9719 alpha=90.00 beta=90.00 gamma=90.00
Space group Immm (No. 71)
Unique sites:
Pu 0.0000 0.0000 0.0000 (multiplicity 2)
Pu 0.0000 0.5000 0.1228 (multiplicity 4)
Zn 0.0000 0.3070 0.3243 (multiplicity 8)
Pd 0.0000 0.0000 0.2177 (multiplicity 4)
Pd 0.0000 0.1955 0.5000 (multiplicity 4)

9.
This entry pairs a crystal structure of Hg5Ru3 with its theoretical powder diffractogram. Radiation: Cu Kα (weighted mean of Kα1 and Kα2). Structure: a cell relaxed with GGA-PBE.

Peak list (10 most intense, 2θ from 10° to 90°, by intensity)
- hkl 2 1 1, 37.79°, I = 1000
- hkl 1 1 2, 40.00°, I = 711
- hkl 2 1 0, 33.84°, I = 423
- hkl 3 0 0, 38.54°, I = 388
- hkl 1 0 2, 35.46°, I = 252
- hkl 2 1 3, 62.12°, I = 236
- hkl 2 2 2, 56.75°, I = 203
- hkl 4 0 2, 63.16°, I = 197
- hkl 3 3 2, 79.32°, I = 165
- hkl 4 1 0, 60.54°, I = 151

Structural model:
Unit cell a=8.0930 b=8.0930 c=5.4289 alpha=90.00 beta=90.00 gamma=120.00
Space group P6_3/mcm (No. 193)
Unique sites:
Hg 0.0000 0.2412 0.2500 (multiplicity 6)
Hg 0.3333 0.6667 0.0000 (multiplicity 4)
Ru 0.0000 0.3982 0.7500 (multiplicity 6)